Computed PXRD pattern of MnGaBO4 for CuKα, from a structure optimized by DFT (GGA+U).
Peak positions follow from Bragg's law for the DFT cell and can differ from measured ones.

Top 8 peaks for 10° ≤ 2θ ≤ 90°, by intensity:
hkl  2θ (°)  d [Å]  intensity
1 1 2  36.57  2.457  100
1 3 0  35.16  2.552  72
2 0 0  31.41  2.848  61
2 4 2  63.25  1.470  40
1 1 1  24.34  3.658  37
2 2 1  41.18  2.192  30
0 2 1  25.95  3.433  23
3 3 0  58.37  1.581  21

Atomic structure:
abc: 5.6957 8.5641 5.7458
angles: 90.00 90.00 90.00
Space group Cmcm (No. 63)
Symmetry-distinct sites (fractional):
Mn: 0.0000 0.0000 0.0000 x4
Ga: 0.0000 0.3540 0.2500 x4
B: 0.0000 0.3548 0.7500 x4
O: 0.0000 0.2558 0.5401 x8
O: 0.2091 0.4702 0.7500 x8